Pr4Tm2Sc: theoretical XRD peak list (λ = 1.5418 Å (Cu Kα)), based on a cell relaxed with GGA-PBE.

Top 12 peaks for 5° ≤ 2θ ≤ 70°, by intensity:
| Position (°2θ) | I/Imax |
| --- | --- |
| 30.4 | 100 |
| 31.7 | 61 |
| 32.4 | 40 |
| 30.9 | 37 |
| 32.6 | 30 |
| 37.3 | 23 |
| 50.8 | 20 |
| 55.5 | 16 |
| 61.0 | 14 |
| 44.7 | 12 |
| 62.9 | 11 |
| 16.6 | 11 |

Crystal structure
```
data_Pr4Tm2Sc
_symmetry_space_group_name_H-M 'F d d 2'
_symmetry_Int_Tables_number 43
_symmetry_space_group_name_Hall 'F 2 -2d'
_cell_length_a 11.9040
_cell_length_b 24.1299
_cell_length_c 6.4131
_cell_angle_alpha 90.00
_cell_angle_beta 90.00
_cell_angle_gamma 90.00
loop_
_atom_site_label
_atom_site_type_symbol
_atom_site_fract_x
_atom_site_fract_y
_atom_site_fract_z
Pr1 Pr 0.0506 0.4301 0.0000
Pr2 Pr 0.0734 0.3562 0.4629
Tm1 Tm 0.0231 0.2832 0.9456
Sc1 Sc 0.0000 0.0000 0.9990
```

Na3LaBr6: theoretical XRD peak list (λ = 1.5418 Å (Cu Kα)), based on a cell relaxed with GGA-PBE.

Top 12 peaks for 5° ≤ 2θ ≤ 70°, by intensity:
| Position (°2θ) | I/Imax |
| --- | --- |
| 27.0 | 100 |
| 35.5 | 47 |
| 41.4 | 38 |
| 16.1 | 26 |
| 46.7 | 22 |
| 14.2 | 18 |
| 50.2 | 14 |
| 55.7 | 12 |
| 32.5 | 11 |
| 67.0 | 10 |
| 26.2 | 10 |
| 40.6 | 8 |

Crystal structure
```
data_Na3LaBr6
_symmetry_space_group_name_H-M 'R 3'
_symmetry_Int_Tables_number 146
_symmetry_space_group_name_Hall 'R 3'
_cell_length_a 7.5492
_cell_length_b 7.5492
_cell_length_c 20.4431
_cell_angle_alpha 90.00
_cell_angle_beta 90.00
_cell_angle_gamma 120.00
loop_
_atom_site_label
_atom_site_type_symbol
_atom_site_fract_x
_atom_site_fract_y
_atom_site_fract_z
Na1 Na 0.0000 0.0000 0.0000
Na2 Na 0.0000 0.0000 0.1977
Na3 Na 0.0000 0.0000 0.4955
La1 La 0.0000 0.0000 0.6921
Br1 Br 0.0021 0.6989 0.5988
Br2 Br 0.0289 0.3509 0.7645
```